Calculated powder X-ray diffraction pattern of CsRb5ZnCoO5 for Cu Kα, 1.54184 Å, from the GGA+U geometry in OQMD.
Lines closer than 0.1° are merged.

Most intense lines, 10° ≤ 2θ ≤ 90°, sorted by position:
| 2theta | I_rel |
| --- | --- |
| 25.7 | 17 |
| 29.0 | 16 |
| 29.2 | 100 |
| 29.8 | 84 |
| 30.0 | 43 |
| 32.5 | 16 |
| 35.4 | 21 |
| 37.0 | 43 |
| 47.8 | 19 |
| 48.3 | 15 |

Structure:
```
CsRb5ZnCoO5
1.0
3.559 -5.955 0.000
3.559 5.955 0.000
-0.283 0.000 6.934
Cs Rb Zn Co O
1 5 1 1 5
Direct
0.000 0.000 0.000 Cs
0.311 0.311 0.608 Rb
0.433 0.905 0.308 Rb
0.452 0.878 0.807 Rb
0.878 0.452 0.807 Rb
0.905 0.433 0.308 Rb
0.866 0.866 0.491 Zn
0.458 0.458 0.108 Co
0.107 0.830 0.582 O
0.231 0.506 0.036 O
0.506 0.231 0.036 O
0.679 0.679 0.281 O
0.830 0.107 0.582 O
```

=====

Calculated powder X-ray diffraction pattern of Cs5RbZnCoO5 for Cu Kα, 1.54184 Å, from the GGA+U geometry in OQMD.
Lines closer than 0.1° are merged.

Most intense lines, 10° ≤ 2θ ≤ 90°, sorted by position:
| 2theta | I_rel |
| --- | --- |
| 24.9 | 26 |
| 27.4 | 32 |
| 28.3 | 82 |
| 28.4 | 25 |
| 28.7 | 100 |
| 29.1 | 46 |
| 32.9 | 27 |
| 36.1 | 26 |
| 36.7 | 32 |
| 45.7 | 22 |

Structure:
```
Cs5RbZnCoO5
1.0
3.705 -6.139 0.000
3.705 6.139 0.000
-0.778 0.000 7.203
Cs Rb Zn Co O
5 1 1 1 5
Direct
0.000 0.000 0.000 Cs
0.419 0.897 0.312 Cs
0.445 0.863 0.811 Cs
0.863 0.445 0.811 Cs
0.897 0.419 0.312 Cs
0.279 0.279 0.635 Rb
0.856 0.856 0.484 Zn
0.454 0.454 0.112 Co
0.091 0.827 0.591 O
0.225 0.490 0.041 O
0.490 0.225 0.041 O
0.689 0.689 0.260 O
0.827 0.091 0.591 O
```